This entry pairs a crystal structure of Tb2Nd3Sm6 with its computed powder X-ray diffraction pattern. Radiation: Cu Kα. Structure: the PBE geometry in Alexandria.
Peak positions follow from Bragg's law for the DFT cell and can differ from measured ones.

The 8 most intense peaks (2θ = 10–90°), in order of rising 2θ:
2theta, d/Å, intensity
30.16, 2.963, 100
34.97, 2.566, 51
50.29, 1.814, 36
59.77, 1.547, 43
62.72, 1.481, 12
73.87, 1.283, 6
81.81, 1.177, 17
84.42, 1.147, 16

Crystal structure
Lattice parameters (Å, degrees): 3.6289 3.6289 97.7618 90.00 90.00 120.00
Space group R-3m (No. 166, hexagonal axes)
One atom of each set of equivalent atoms:
1 Tb 0.0000 0.0000 0.0450 [6 per cell]
2 Nd 0.0000 0.0000 0.2278 [6 per cell]
3 Nd 0.0000 0.0000 0.5000 [3 per cell]
4 Sm 0.0000 0.0000 0.1361 [6 per cell]
5 Sm 0.0000 0.0000 0.3181 [6 per cell]
6 Sm 0.0000 0.0000 0.4082 [6 per cell]

This entry pairs a crystal structure of La2Sm3Al with its computed powder X-ray diffraction pattern. Radiation: Cu Kα. Structure: the PBE geometry in Alexandria.
Peak positions follow from Bragg's law for the DFT cell and can differ from measured ones.

The 10 most intense peaks (2θ = 10–90°), in order of rising 2θ:
2theta, d/Å, intensity
25.17, 3.538, 13
29.49, 3.029, 31
29.64, 3.014, 18
31.98, 2.798, 100
32.30, 2.772, 29
44.41, 2.040, 12
46.61, 1.948, 15
56.75, 1.622, 15
57.40, 1.605, 19
57.85, 1.594, 16

Crystal structure
Lattice parameters (Å, degrees): 5.543 18.082 3.845 90.00 90.00 90.00
Space group Pmmn (No. 59, origin choice 2)
One atom of each set of equivalent atoms:
1 La 0.250 0.069 0.001 [4 per cell]
2 Sm 0.250 0.250 0.502 [2 per cell]
3 Sm 0.250 0.615 0.499 [4 per cell]
4 Al 0.250 0.750 0.998 [2 per cell]

This entry pairs a crystal structure of Li2ScTeO with its computed powder X-ray diffraction pattern. Radiation: Cu Kα. Structure: the PBE geometry in Alexandria.
Peak positions follow from Bragg's law for the DFT cell and can differ from measured ones.

The 10 most intense peaks (2θ = 10–90°), in order of rising 2θ:
2theta, d/Å, intensity
18.81, 4.718, 100
24.71, 3.603, 41
26.72, 3.336, 57
32.08, 2.790, 22
37.45, 2.401, 34
38.15, 2.359, 27
42.23, 2.140, 32
42.86, 2.110, 24
50.68, 1.801, 23
54.53, 1.683, 23

Crystal structure
Lattice parameters (Å, degrees): 4.718 4.718 5.579 90.00 90.00 90.00
Space group P4/mmm (No. 123)
One atom of each set of equivalent atoms:
1 Li 0.000 0.500 0.000 [2 per cell]
2 Sc 0.000 0.000 0.500 [1 per cell]
3 Te 0.000 0.000 0.000 [1 per cell]
4 O 0.500 0.500 0.500 [1 per cell]